Computed powder diffraction line list of LiPr4Dy4 for λ = 1.5418 Å (Cu Kα), from a GGA-PBE-relaxed structure.
Neutral-atom scattering factors, no anomalous dispersion.

Atomic structure:
Lattice parameters (Å, degrees): 7.7187 7.7187 7.7187 131.18 117.75 82.88
Element x y z (fractional)
Li 0.0000 0.0000 0.0000
Pr 0.0000 0.5000 0.5000
Pr 0.3198 0.0000 0.3198
Pr 0.5000 0.5000 0.0000
Pr 0.6802 0.0000 0.6802
Dy 0.1077 0.4822 0.1003
Dy 0.3819 0.0075 0.8997
Dy 0.6181 0.5178 0.6255
Dy 0.8923 0.9925 0.3745

Main lines, sorted by position (2θ = 5–70°):
| d/Å | Position (°2θ) | I/Imax |
| --- | --- | --- |
| 3.247 | 27.5 | 1000 |
| 2.893 | 30.9 | 442 |
| 2.794 | 32.0 | 799 |
| 2.543 | 35.3 | 515 |
| 1.910 | 47.6 | 221 |
| 1.853 | 49.2 | 197 |
| 1.688 | 54.4 | 146 |
| 1.651 | 55.7 | 164 |